Starting from a cell relaxed with PBE, the powder diffractogram of VZn4 was simulated for copper Kα.

Main lines, in order of falling intensity (15 to 90 degrees two-theta):
2θ 39.4, d = 2.288 Å, rel. 1000, hkl 0 1 5; 2θ 41.7, d = 2.167 Å, rel. 852, hkl 1 1 0; 2θ 46.4, d = 1.959 Å, rel. 615, hkl 1 0 5; 2θ 69.6, d = 1.351 Å, rel. 336, hkl 1 2 5; 2θ 48.8, d = 1.867 Å, rel. 264, hkl 0 2 0; 2θ 79.7, d = 1.203 Å, rel. 220, hkl 1 1 10; 2θ 84.2, d = 1.150 Å, rel. 193, hkl 2 1 5; 2θ 84.8, d = 1.144 Å, rel. 189, hkl 0 3 5; 2θ 64.4, d = 1.447 Å, rel. 106, hkl 0 0 10; 2θ 86.3, d = 1.127 Å, rel. 92, hkl 1 3 0

Cell and atoms:
```
VZn4
1.0
2.6601 0.0000 0.0000
0.0000 3.7342 0.0000
0.0000 0.0000 14.4723
V Zn
2 8
Direct
0.0000 0.0000 0.0000
0.5000 0.5000 0.5000
0.0000 0.0000 0.1963
0.0000 0.0000 0.4008
0.0000 0.0000 0.5992
0.0000 0.0000 0.8037
0.5000 0.5000 0.0992
0.5000 0.5000 0.3037
0.5000 0.5000 0.6963
0.5000 0.5000 0.9008
```